[1]
Starting from a cell relaxed with PBE, the X-ray powder pattern of SmAgSnS3 was calculated for Cu Kα, 1.54184 Å.
Lines closer than 0.1° are merged.

a b c (Å): 11.9236 4.0499 12.4467
angles (deg): 90.00 90.00 90.00
Element x y z (fractional)
Sm: 0.0103 0.2500 0.1557
Sm: 0.4897 0.7500 0.6557
Sm: 0.5103 0.2500 0.3443
Sm: 0.9897 0.7500 0.8443
Ag: 0.1989 0.7500 0.3917
Ag: 0.3011 0.2500 0.8917
Ag: 0.6989 0.7500 0.1083
Ag: 0.8011 0.2500 0.6083
Sn: 0.1742 0.2500 0.5813
Sn: 0.3258 0.7500 0.0813
Sn: 0.6742 0.2500 0.9187
Sn: 0.8258 0.7500 0.4187
S: 0.0139 0.7500 0.3130
S: 0.1068 0.2500 0.9504
S: 0.2503 0.2500 0.2038
S: 0.2497 0.7500 0.7038
S: 0.3932 0.7500 0.4504
S: 0.4861 0.2500 0.8130
S: 0.5139 0.7500 0.1870
S: 0.6068 0.2500 0.5496
S: 0.7503 0.2500 0.2962
S: 0.7497 0.7500 0.7962
S: 0.8932 0.7500 0.0496
S: 0.9861 0.2500 0.6870

The 8 most intense peaks (2θ = 15–90°), by angle:
2theta, intensity, hkl
23.50, 74, 3 0 1
27.32, 100, 1 1 2
27.57, 41, 2 1 1
30.85, 37, 0 1 3
34.41, 45, 2 1 3
43.15, 39, 3 1 4
44.75, 35, 0 2 0
46.54, 55, 5 1 2

***

[2]
Starting from a cell relaxed with PBE, the X-ray powder pattern of GdSnPO was calculated for Cu Kα, 1.54184 Å.
Lines closer than 0.1° are merged.

a b c (Å): 4.1073 4.1073 9.7060
angles (deg): 90.00 90.00 90.00
Element x y z (fractional)
Gd: 0.2500 0.2500 0.1070
Gd: 0.7500 0.7500 0.8930
Sn: 0.2500 0.7500 0.5000
Sn: 0.7500 0.2500 0.5000
P: 0.2500 0.2500 0.7235
P: 0.7500 0.7500 0.2765
O: 0.2500 0.7500 0.0000
O: 0.7500 0.2500 0.0000

The 8 most intense peaks (2θ = 15–90°), by angle:
2theta, intensity, hkl
18.28, 42, 0 0 2
28.47, 74, 1 0 2
32.17, 100, 1 1 1
35.32, 44, 1 0 3
36.04, 27, 1 1 2
44.10, 45, 2 0 0
48.91, 41, 1 1 4
53.33, 26, 2 1 2

***

[3]
Starting from a cell relaxed with PBE, the X-ray powder pattern of KSmTe4 was calculated for Cu Kα, 1.54184 Å.
Lines closer than 0.1° are merged.

a b c (Å): 6.9080 6.9080 9.0055
angles (deg): 90.00 90.00 90.00
Element x y z (fractional)
K: 0.2500 0.2500 0.0000
K: 0.7500 0.7500 0.0000
Sm: 0.2500 0.2500 0.5000
Sm: 0.7500 0.7500 0.5000
Te: 0.1050 0.6050 0.2903
Te: 0.1050 0.8950 0.7097
Te: 0.3950 0.6050 0.7097
Te: 0.3950 0.8950 0.2903
Te: 0.6050 0.1050 0.7097
Te: 0.6050 0.3950 0.2903
Te: 0.8950 0.1050 0.2903
Te: 0.8950 0.3950 0.7097

The 8 most intense peaks (2θ = 15–90°), by angle:
2theta, intensity, hkl
26.93, 65, 1 1 2
30.59, 100, 2 1 1
32.68, 28, 2 0 2
35.23, 17, 2 1 2
41.33, 36, 3 1 0
41.97, 24, 2 1 3
50.14, 19, 2 1 4
57.11, 22, 4 0 2